Computed X-ray diffraction stick pattern
Compound: CaCr2Cu3Sb2O12
Radiation: CuKα
Structure: DFT lattice parameters and positions (PBE+U)
No peak broadening, texture or thermal motion is included.

Structural model:
Cell: 7.574 7.574 7.574 Å, 90.00 90.00 90.00°
Element x y z (fractional)
Ca: 0.250 0.250 0.250
Ca: 0.750 0.750 0.750
Cr: 0.000 0.000 0.000
Cr: 0.000 0.500 0.500
Cr: 0.500 0.000 0.500
Cr: 0.500 0.500 0.000
Cu: 0.250 0.250 0.750
Cu: 0.250 0.750 0.250
Cu: 0.250 0.750 0.750
Cu: 0.750 0.250 0.250
Cu: 0.750 0.250 0.750
Cu: 0.750 0.750 0.250
Sb: 0.000 0.000 0.500
Sb: 0.000 0.500 0.000
Sb: 0.500 0.000 0.000
Sb: 0.500 0.500 0.500
O: 0.055 0.749 0.924
O: 0.055 0.751 0.576
O: 0.076 0.555 0.249
O: 0.076 0.945 0.251
O: 0.249 0.076 0.555
O: 0.249 0.424 0.945
O: 0.251 0.076 0.945
O: 0.251 0.424 0.555
O: 0.424 0.555 0.251
O: 0.424 0.945 0.249
O: 0.445 0.749 0.576
O: 0.445 0.751 0.924
O: 0.555 0.249 0.076
O: 0.555 0.251 0.424
O: 0.576 0.055 0.751
O: 0.576 0.445 0.749
O: 0.749 0.576 0.445
O: 0.749 0.924 0.055
O: 0.751 0.576 0.055
O: 0.751 0.924 0.445
O: 0.924 0.055 0.749
O: 0.924 0.445 0.751
O: 0.945 0.249 0.424
O: 0.945 0.251 0.076

Top 12 peaks for 2θ from 5° to 70°, by angle:
- (1 1 1), d 4.373, 2θ 20.31, intensity 14.1
- (2 0 0), d 3.787, 2θ 23.49, intensity 6.7
- (2 1 1), d 3.092, 2θ 28.87, intensity 2.4
- (2 2 0), d 2.678, 2θ 33.46, intensity 100.0
- (3 0 1), d 2.395, 2θ 37.55, intensity 3.6
- (3 1 1), d 2.284, 2θ 39.46, intensity 7.8
- (3 1 2), d 2.024, 2θ 44.77, intensity 2.0
- (4 0 0), d 1.894, 2θ 48.05, intensity 25.3
- (3 3 1), d 1.738, 2θ 52.67, intensity 3.5
- (4 0 2), d 1.694, 2θ 54.15, intensity 3.4
- (4 2 2), d 1.546, 2θ 59.82, intensity 47.3
- (5 1 1), d 1.458, 2θ 63.86, intensity 2.8